No. 1
This entry pairs a crystal structure of K3P4HAu2O14 with its theoretical powder XRD pattern. Radiation: copper Kα. Structure: the GGA-PBE geometry in OQMD.
Peak positions follow from Bragg's law for the DFT cell and can differ from measured ones.

Largest 10 diffraction maxima, sorted by position, 10 to 90 degrees two-theta:
| d [Å] | two_theta | I_rel | h k l |
| --- | --- | --- | --- |
| 6.248 | 14.18 | 94.5 | 0 0 2 |
| 4.770 | 18.60 | 34.7 | 1 0 0 |
| 4.757 | 18.65 | 84.9 | 0 1 -1 |
| 4.623 | 19.20 | 38.9 | 1 1 1 |
| 4.512 | 19.67 | 100.0 | 0 1 1 |
| 4.236 | 20.97 | 40.8 | 1 0 2 |
| 3.082 | 28.97 | 37.4 | 0 1 3 |
| 2.941 | 30.39 | 47.1 | 1 1 -3 |
| 2.899 | 30.85 | 46.8 | 1 0 4 |
| 2.748 | 32.59 | 47.3 | 2 1 1 |

Crystal structure
a = 5.500 Å, b = 5.644 Å, c = 12.768 Å
α = 88.74°, β = 78.98°, γ = 62.35°
Space group P-1 (No. 2)
Unique sites:
K (0.000, 0.000, 0.000) x1
K (0.204, 0.147, 0.436) x2
P (0.420, 0.524, 0.650) x2
P (0.432, 0.303, 0.859) x2
H (0.500, 0.500, 0.000) x1
Au (0.007, 0.262, 0.731) x2
O (0.251, 0.884, 0.171) x2
O (0.256, 0.638, 0.385) x2
O (0.279, 0.144, 0.843) x2
O (0.290, 0.353, 0.616) x2
O (0.300, 0.802, 0.614) x2
O (0.337, 0.441, 0.972) x2
O (0.350, 0.550, 0.782) x2

---

No. 2
This entry pairs a crystal structure of Pr2Sm2CI2Br2Cl with its theoretical powder XRD pattern. Radiation: copper Kα. Structure: the GGA-PBE geometry in OQMD.
Peak positions follow from Bragg's law for the DFT cell and can differ from measured ones.

Largest 10 diffraction maxima, sorted by position, 10 to 90 degrees two-theta:
| d [Å] | two_theta | I_rel | h k l |
| --- | --- | --- | --- |
| 8.073 | 10.96 | 47.6 | 0 0 1 |
| 3.864 | 23.02 | 17.8 | 1 1 0 |
| 3.088 | 28.92 | 50.4 | 6 0 0 |
| 2.953 | 30.27 | 15.7 | 3 1 1 |
| 2.859 | 31.28 | 100.0 | 1 1 -2 |
| 2.702 | 33.16 | 40.8 | 5 1 0 |
| 2.104 | 43.00 | 26.0 | 7 1 -2 |
| 2.092 | 43.24 | 31.3 | 5 1 2 |
| 1.975 | 45.94 | 19.6 | 0 2 0 |
| 1.664 | 55.20 | 15.9 | 6 2 0 |

Crystal structure
a = 19.015 Å, b = 3.951 Å, c = 8.286 Å
α = 90.00°, β = 103.03°, γ = 90.00°
Space group C2/m (No. 12)
Unique sites:
Pr (0.138, 0.000, 0.075) x4
Sm (0.000, 0.500, 0.209) x4
C (0.000, 0.000, 0.000) x2
I (0.169, 0.500, 0.798) x4
Br (0.157, 0.500, 0.351) x4
Cl (0.000, 0.000, 0.500) x2